Diffraction record for Ac3AgPd3. The X-ray diffraction stick pattern is theoretical, not measured: it uses a PBE-relaxed structure and Cu Kα X-rays.
Kinematic intensities with the Lorentz-polarization factor, no thermal factor.

Most intense lines, 15° ≤ 2θ ≤ 90°, most intense first:
| 2θ (°) | Rel. int. |
| --- | --- |
| 30.5 | 100 |
| 30.9 | 91 |
| 36.8 | 84 |
| 34.5 | 61 |
| 41.4 | 54 |
| 29.6 | 54 |
| 30.3 | 45 |
| 37.2 | 34 |

Structure:
Cell lengths 12.0925, 4.3589, 15.4600 Å; angles 90.00, 110.41, 90.00 degrees
Space group C2/m (No. 12)
Unique sites:
Ac 0.0295 0.0000 0.3859 [4 per cell]
Ac 0.1013 0.0000 0.9229 [4 per cell]
Ac 0.2354 0.0000 0.2290 [4 per cell]
Ag 0.2339 0.5000 0.3985 [4 per cell]
Pd 0.0161 0.5000 0.2286 [4 per cell]
Pd 0.1201 0.5000 0.5479 [4 per cell]
Pd 0.1227 0.5000 0.0770 [4 per cell]


Diffraction record for Pr3Nd6Dy2Ho. The X-ray diffraction stick pattern is theoretical, not measured: it uses a PBE-relaxed structure and Cu Kα X-rays.
Kinematic intensities with the Lorentz-polarization factor, no thermal factor.

Most intense lines, 15° ≤ 2θ ≤ 90°, most intense first:
| 2θ (°) | Rel. int. |
| --- | --- |
| 29.9 | 100 |
| 34.7 | 67 |
| 59.3 | 34 |
| 30.1 | 33 |
| 49.8 | 24 |
| 50.0 | 24 |
| 59.5 | 14 |
| 62.2 | 12 |

Structure:
Cell lengths 6.3390, 10.9836, 12.0790 Å; angles 90.00, 100.09, 90.00 degrees
Space group C2/m (No. 12)
Unique sites:
Pr 0.0000 0.0000 0.0000 [2 per cell]
Pr 0.0000 0.3333 0.0000 [4 per cell]
Nd 0.2490 0.0000 0.7450 [4 per cell]
Nd 0.2487 0.3334 0.7448 [8 per cell]
Dy 0.0000 0.1666 0.5000 [4 per cell]
Ho 0.0000 0.5000 0.5000 [2 per cell]


Repeat the second record exactly.
Diffraction record for Pr3Nd6Dy2Ho. The X-ray diffraction stick pattern is theoretical, not measured: it uses a PBE-relaxed structure and Cu Kα X-rays.
Kinematic intensities with the Lorentz-polarization factor, no thermal factor.

Most intense lines, 15° ≤ 2θ ≤ 90°, most intense first:
| 2θ (°) | Rel. int. |
| --- | --- |
| 29.9 | 100 |
| 34.7 | 67 |
| 59.3 | 34 |
| 30.1 | 33 |
| 49.8 | 24 |
| 50.0 | 24 |
| 59.5 | 14 |
| 62.2 | 12 |

Structure:
Cell lengths 6.3390, 10.9836, 12.0790 Å; angles 90.00, 100.09, 90.00 degrees
Space group C2/m (No. 12)
Unique sites:
Pr 0.0000 0.0000 0.0000 [2 per cell]
Pr 0.0000 0.3333 0.0000 [4 per cell]
Nd 0.2490 0.0000 0.7450 [4 per cell]
Nd 0.2487 0.3334 0.7448 [8 per cell]
Dy 0.0000 0.1666 0.5000 [4 per cell]
Ho 0.0000 0.5000 0.5000 [2 per cell]